For Na4TaInSi3O12, a cell relaxed with PBE gives the computed X-ray powder pattern in this record (copper Kα).
Peak positions follow from Bragg's law for the DFT cell and can differ from measured ones.

Main lines, in order of falling intensity (2θ from 10° to 90°):
two_theta	I (rel.)
19.3	100.0
30.8	55.7
33.7	45.1
27.4	23.0
46.3	20.3
52.6	17.6
13.6	17.2
58.5	15.4
50.7	12.5
44.0	11.2

Atomic structure:
```
data_Na4TaInSi3O12
_chemical_formula_sum 'Na8 Ta2 In2 Si6 O24'
_space_group_name_H-M_alt 'P 1'
_space_group_IT_number 1
_space_group_name_Hall 'P 1'
_cell_length_a 9.181
_cell_length_b 9.181
_cell_length_c 9.181
_cell_angle_alpha 60.24
_cell_angle_beta 60.24
_cell_angle_gamma 60.24
loop_
_atom_site_label
_atom_site_type_symbol
_atom_site_fract_x
_atom_site_fract_y
_atom_site_fract_z
Na1 Na 0.000 0.000 0.000
Na2 Na 0.126 0.392 0.739
Na3 Na 0.239 0.892 0.626
Na4 Na 0.392 0.739 0.126
Na5 Na 0.500 0.500 0.500
Na6 Na 0.626 0.239 0.892
Na7 Na 0.739 0.126 0.392
Na8 Na 0.892 0.626 0.239
Ta1 Ta 0.152 0.152 0.152
Ta2 Ta 0.652 0.652 0.652
In1 In 0.355 0.355 0.355
In2 In 0.855 0.855 0.855
Si1 Si 0.049 0.759 0.460
Si2 Si 0.259 0.549 0.960
Si3 Si 0.460 0.049 0.759
Si4 Si 0.549 0.960 0.259
Si5 Si 0.759 0.460 0.049
Si6 Si 0.960 0.259 0.549
O1 O 0.002 0.230 0.364
O2 O 0.035 0.783 0.629
O3 O 0.060 0.941 0.281
O4 O 0.095 0.732 0.927
O5 O 0.129 0.283 0.535
O6 O 0.230 0.364 0.002
O7 O 0.232 0.595 0.427
O8 O 0.281 0.060 0.941
O9 O 0.283 0.535 0.129
O10 O 0.364 0.002 0.230
O11 O 0.427 0.232 0.595
O12 O 0.441 0.560 0.781
O13 O 0.502 0.864 0.730
O14 O 0.535 0.129 0.283
O15 O 0.560 0.781 0.441
O16 O 0.595 0.427 0.232
O17 O 0.629 0.035 0.783
O18 O 0.730 0.502 0.864
O19 O 0.732 0.927 0.095
O20 O 0.781 0.441 0.560
O21 O 0.783 0.629 0.035
O22 O 0.864 0.730 0.502
O23 O 0.927 0.095 0.732
O24 O 0.941 0.281 0.060
```